RbLiNdI5: simulated powder diffractogram (Cu Kα (weighted mean of Kα1 and Kα2)), based on a crystal structure in Alexandria, relaxed with GGA-PBE.
Lines closer than 0.1° are merged.

Structure:
Cell lengths 10.265, 13.926, 11.717 Å; angles 90.00, 113.25, 90.00 degrees
Space group C2/c (No. 15)
One atom of each set of equivalent atoms:
Rb (0.000, 0.146, 0.250)
Li (0.000, 0.192, 0.750)
Nd (0.000, 0.500, 0.000)
I (0.000, 0.416, 0.250)
I (0.115, 0.298, 0.612)
I (0.188, 0.069, 0.932)

Principal peaks in the range 10 to 80 degrees two-theta, in order of rising 2θ:
| 2theta | I_rel | index |
| --- | --- | --- |
| 11.33 | 58 | 1 1 0 |
| 16.67 | 55 | 1 1 -2 |
| 23.37 | 27 | 2 2 -2 |
| 23.66 | 72 | 1 1 -3 |
| 24.22 | 84 | 1 3 1 |
| 26.96 | 100 | 3 1 -1 |
| 29.12 | 31 | 3 1 0 |
| 31.42 | 27 | 1 1 -4 |
| 32.41 | 46 | 2 4 -2 |
| 35.79 | 40 | 1 5 -2 |
| 39.65 | 37 | 4 0 -4 |
| 45.03 | 27 | 3 3 -5 |